Starting from a crystal structure in Alexandria, relaxed with PBE, the XRD peak list of CaMg5Ag2 was simulated for Cu Kα.
No peak broadening, texture or thermal motion is included.

Main lines, most intense first (10° ≤ 2θ ≤ 90°):
| two_theta | I/Imax |
| --- | --- |
| 28.67 | 100 |
| 17.40 | 63 |
| 21.14 | 55 |
| 42.03 | 54 |
| 22.61 | 51 |
| 33.17 | 48 |
| 37.96 | 45 |
| 41.44 | 38 |

Atomic structure:
Cell: 6.971 6.971 6.971 Å, 142.77 105.86 86.01°
Fractional positions:
Ca (0.000, 0.000, 0.000)
Mg (0.159, 0.343, 0.816)
Mg (0.474, 0.657, 0.816)
Mg (0.500, 0.000, 0.500)
Mg (0.526, 0.343, 0.184)
Mg (0.841, 0.657, 0.184)
Ag (0.232, 0.732, 0.500)
Ag (0.768, 0.268, 0.500)